PaOsPbO6: simulated X-ray diffraction stick pattern (copper Kα), based on a GGA-PBE-relaxed structure.

Largest 12 diffraction maxima, in order of rising 2θ, 15 to 90 degrees two-theta:
- 2θ = 26.77°, 3.330 Å, intensity 49, (1 2 1)
- 2θ = 27.19°, 3.280 Å, intensity 40, (1 0 3)
- 2θ = 27.61°, 3.231 Å, intensity 100, (0 2 2)
- 2θ = 28.23°, 3.161 Å, intensity 84, (2 1 1)
- 2θ = 32.46°, 2.758 Å, intensity 18, (0 0 4)
- 2θ = 36.60°, 2.455 Å, intensity 31, (2 1 3)
- 2θ = 42.99°, 2.104 Å, intensity 20, (2 3 1)
- 2θ = 47.27°, 1.923 Å, intensity 17, (2 2 4)
- 2θ = 48.82°, 1.866 Å, intensity 25, (1 2 5)
- 2θ = 49.21°, 1.851 Å, intensity 17, (2 3 3)
- 2θ = 53.83°, 1.703 Å, intensity 15, (1 4 3)
- 2θ = 58.38°, 1.581 Å, intensity 26, (4 2 2)

Atomic structure:
Unit cell a=7.2499 b=7.9722 c=11.0333 alpha=90.00 beta=90.00 gamma=90.00
Space group Imma (No. 74)
Symmetry-distinct sites (fractional):
Pa 0.0000 0.0000 0.0000 [4 per cell]
Os 0.2500 0.2500 0.2500 [4 per cell]
Pb 0.0000 0.2500 0.7062 [4 per cell]
O 0.0000 0.2500 0.2851 [4 per cell]
O 0.0000 0.2500 0.9076 [4 per cell]
O 0.2075 0.0702 0.1297 [16 per cell]

---

PaOsPdO6: simulated X-ray diffraction stick pattern (copper Kα), based on a GGA-PBE-relaxed structure.

Largest 12 diffraction maxima, in order of rising 2θ, 15 to 90 degrees two-theta:
- 2θ = 18.77°, 4.727 Å, intensity 12, (1 0 0)
- 2θ = 19.41°, 4.573 Å, intensity 36, (0 0 2)
- 2θ = 27.13°, 3.287 Å, intensity 100, (1 0 2)
- 2θ = 32.81°, 2.729 Å, intensity 68, (1 1 0)
- 2θ = 38.41°, 2.344 Å, intensity 39, (1 1 2)
- 2θ = 39.41°, 2.286 Å, intensity 12, (0 0 4)
- 2θ = 43.08°, 2.100 Å, intensity 29, (2 0 2)
- 2θ = 52.19°, 1.753 Å, intensity 54, (1 1 4)
- 2θ = 55.19°, 1.664 Å, intensity 28, (2 1 2)
- 2θ = 58.58°, 1.576 Å, intensity 21, (3 0 0)
- 2θ = 72.91°, 1.297 Å, intensity 13, (3 0 4)
- 2θ = 82.28°, 1.172 Å, intensity 14, (4 -2 4)

Atomic structure:
Unit cell a=5.4585 b=5.4585 c=9.1453 alpha=90.00 beta=90.00 gamma=120.00
Space group P-31c (No. 163)
Symmetry-distinct sites (fractional):
Pa 0.3333 0.6667 0.2500 [2 per cell]
Os 0.3333 0.6667 0.7500 [2 per cell]
Pd 0.0000 0.0000 0.0000 [2 per cell]
O 0.0281 0.3653 0.6316 [12 per cell]

---

Os3PbO9: simulated X-ray diffraction stick pattern (copper Kα), based on a GGA-PBE-relaxed structure.

Largest 12 diffraction maxima, in order of rising 2θ, 15 to 90 degrees two-theta:
- 2θ = 23.71°, 3.752 Å, intensity 51, (0 2 0)
- 2θ = 26.38°, 3.379 Å, intensity 100, (1 0 -2)
- 2θ = 27.99°, 3.188 Å, intensity 70, (1 0 2)
- 2θ = 28.64°, 3.117 Å, intensity 53, (1 2 0)
- 2θ = 30.39°, 2.941 Å, intensity 64, (1 2 -1)
- 2θ = 31.10°, 2.876 Å, intensity 89, (1 2 1)
- 2θ = 31.97°, 2.799 Å, intensity 72, (2 0 0)
- 2θ = 35.76°, 2.511 Å, intensity 29, (1 2 -2)
- 2θ = 41.22°, 2.190 Å, intensity 41, (0 2 3)
- 2θ = 48.52°, 1.876 Å, intensity 39, (0 4 0)
- 2θ = 56.91°, 1.618 Å, intensity 46, (3 2 1)
- 2θ = 59.29°, 1.559 Å, intensity 30, (2 4 0)

Atomic structure:
Unit cell a=5.6094 b=7.5042 c=8.1063 alpha=90.00 beta=93.51 gamma=90.00
Space group P2_1/m (No. 11)
Symmetry-distinct sites (fractional):
Os 0.0000 0.0000 0.0000 [2 per cell]
Os 0.4731 0.0031 0.6955 [4 per cell]
Pb 0.0175 0.2500 0.4252 [2 per cell]
O 0.0410 0.2500 0.9846 [2 per cell]
O 0.1695 0.5450 0.7927 [4 per cell]
O 0.2819 0.5251 0.4794 [4 per cell]
O 0.2912 0.5181 0.1264 [4 per cell]
O 0.4300 0.2500 0.6945 [2 per cell]
O 0.4668 0.2500 0.3089 [2 per cell]

---

OsPtPbO6: simulated X-ray diffraction stick pattern (copper Kα), based on a GGA-PBE-relaxed structure.

Largest 12 diffraction maxima, in order of rising 2θ, 15 to 90 degrees two-theta:
- 2θ = 15.01°, 5.904 Å, intensity 20, (0 1 1)
- 2θ = 25.07°, 3.552 Å, intensity 28, (1 1 2)
- 2θ = 29.10°, 3.069 Å, intensity 100, (1 2 1)
- 2θ = 29.29°, 3.049 Å, intensity 55, (0 1 3)
- 2θ = 30.00°, 2.979 Å, intensity 60, (2 1 1)
- 2θ = 30.28°, 2.952 Å, intensity 25, (0 2 2)
- 2θ = 31.43°, 2.846 Å, intensity 71, (2 0 2)
- 2θ = 46.13°, 1.968 Å, intensity 19, (0 3 3)
- 2θ = 47.62°, 1.910 Å, intensity 21, (3 2 1)
- 2θ = 50.07°, 1.822 Å, intensity 18, (0 4 0)
- 2θ = 51.46°, 1.776 Å, intensity 47, (2 2 4)
- 2θ = 60.32°, 1.534 Å, intensity 22, (2 4 2)

Atomic structure:
Unit cell a=6.9008 b=7.2873 c=10.0709 alpha=90.00 beta=90.00 gamma=90.00
Space group Imma (No. 74)
Symmetry-distinct sites (fractional):
Os 0.0000 0.0000 0.0000 [4 per cell]
Pt 0.2500 0.2500 0.2500 [4 per cell]
Pb 0.0000 0.2500 0.5888 [4 per cell]
O 0.0000 0.2500 0.3562 [4 per cell]
O 0.0000 0.2500 0.9662 [4 per cell]
O 0.1997 0.0280 0.1307 [16 per cell]